Diffraction record for Y4AlS3. The powder diffractogram is calculated, not measured: it uses a DFT-relaxed cell (GGA-PBE, Alexandria) and Cu Kα, 1.54184 Å.

Crystal structure
```
data_Y4AlS3
_chemical_formula_sum 'Y8 Al2 S6'
_symmetry_space_group_name_H-M 'C m m m'
_symmetry_Int_Tables_number 65
_symmetry_space_group_name_Hall '-C 2 2'
_cell_length_a 8.167
_cell_length_b 11.399
_cell_length_c 3.911
_cell_angle_alpha 90.00
_cell_angle_beta 90.00
_cell_angle_gamma 90.00
loop_
_atom_site_label
_atom_site_type_symbol
_atom_site_fract_x
_atom_site_fract_y
_atom_site_fract_z
_atom_site_occupancy
Y1 Y 0.000 0.249 0.000 1
Y2 Y 0.240 0.000 0.500 1
Al1 Al 0.000 0.500 0.000 1
S1 S 0.000 0.000 0.000 1
S2 S 0.250 0.250 0.500 1
```

Main lines, sorted by position (2θ from 10° to 90°):
2θ 26.9, rel. 35
2θ 27.7, rel. 33
2θ 31.4, rel. 52
2θ 31.7, rel. 100
2θ 44.4, rel. 18
2θ 45.2, rel. 71
2θ 46.4, rel. 16
2θ 55.4, rel. 19
2θ 57.1, rel. 17
2θ 74.6, rel. 17

Diffraction record for Al2Zn2S5. The powder diffractogram is calculated, not measured: it uses a DFT-relaxed cell (GGA-PBE, Alexandria) and Cu Kα, 1.54184 Å.

Crystal structure
```
data_Al2Zn2S5
_chemical_formula_sum 'Al4 Zn4 S10'
_symmetry_space_group_name_H-M 'P 63 m c'
_symmetry_Int_Tables_number 186
_symmetry_space_group_name_Hall 'P 6c -2c'
_cell_length_a 3.7262
_cell_length_b 3.7262
_cell_length_c 29.5799
_cell_angle_alpha 90.00
_cell_angle_beta 90.00
_cell_angle_gamma 120.00
loop_
_atom_site_label
_atom_site_type_symbol
_atom_site_fract_x
_atom_site_fract_y
_atom_site_fract_z
_atom_site_occupancy
Al1 Al 0.0000 0.0000 0.0000 1
Al2 Al 0.3333 0.6667 0.2682 1
Zn1 Zn 0.3333 0.6667 0.6235 1
Zn2 Zn 0.3333 0.6667 0.8787 1
S1 S 0.3333 0.6667 0.1496 1
S2 S 0.3333 0.6667 0.3456 1
S3 S 0.3333 0.6667 0.5393 1
S4 S 0.3333 0.6667 0.7417 1
S5 S 0.3333 0.6667 0.9550 1
```

Main lines, sorted by position (2θ from 10° to 90°):
2θ 12.0, rel. 44
2θ 24.1, rel. 68
2θ 27.6, rel. 75
2θ 27.8, rel. 25
2θ 29.1, rel. 80
2θ 30.2, rel. 50
2θ 43.8, rel. 46
2θ 48.9, rel. 100
2θ 54.5, rel. 53
2θ 55.2, rel. 39

Diffraction record for Al2Zn2S5. The powder diffractogram is calculated, not measured: it uses a DFT-relaxed cell (GGA-PBE, Alexandria) and Cu Kα, 1.54184 Å.

Crystal structure
```
data_Al2Zn2S5
_chemical_formula_sum 'Al6 Zn6 S15'
_symmetry_space_group_name_H-M 'R -3 m'
_symmetry_Int_Tables_number 166
_symmetry_space_group_name_Hall '-R 3 2"'
_cell_length_a 3.6761
_cell_length_b 3.6761
_cell_length_c 48.2701
_cell_angle_alpha 90.00
_cell_angle_beta 90.00
_cell_angle_gamma 120.00
loop_
_atom_site_label
_atom_site_type_symbol
_atom_site_fract_x
_atom_site_fract_y
_atom_site_fract_z
_atom_site_occupancy
Al1 Al 0.0000 0.0000 0.2308 1
Zn1 Zn 0.0000 0.0000 0.3642 1
S1 S 0.0000 0.0000 0.0000 1
S2 S 0.0000 0.0000 0.1229 1
S3 S 0.0000 0.0000 0.2760 1
```

Main lines, sorted by position (2θ from 10° to 90°):
2θ 22.1, rel. 26
2θ 28.3, rel. 19
2θ 31.8, rel. 100
2θ 34.8, rel. 23
2θ 38.5, rel. 28
2θ 42.7, rel. 16
2θ 49.6, rel. 47
2θ 50.5, rel. 24
2θ 55.7, rel. 17
2θ 60.1, rel. 14

Diffraction record for Al2ZnS4. The powder diffractogram is calculated, not measured: it uses a DFT-relaxed cell (GGA-PBE, Alexandria) and Cu Kα, 1.54184 Å.

Crystal structure
```
data_Al2ZnS4
_chemical_formula_sum 'Al2 Zn1 S4'
_symmetry_space_group_name_H-M 'P 3 m 1'
_symmetry_Int_Tables_number 156
_cell_length_a 3.6856
_cell_length_b 3.6856
_cell_length_c 12.0434
_cell_angle_alpha 90.00
_cell_angle_beta 90.00
_cell_angle_gamma 120.00
loop_
_symmetry_equiv_pos_as_xyz
'x,y,z'
'-y,x-y,z'
'-x+y,-x,z'
'-y,-x,z'
'-x+y,y,z'
'x,x-y,z'
loop_
_atom_site_label
_atom_site_type_symbol
_atom_site_fract_x
_atom_site_fract_y
_atom_site_fract_z
_atom_site_occupancy
Al1 Al 0.0000 0.0000 0.0000 1
Al2 Al 0.3333 0.6667 0.3029 1
Zn1 Zn 0.6667 0.3333 0.6881 1
S1 S 0.3333 0.6667 0.1166 1
S2 S 0.3333 0.6667 0.6285 1
S3 S 0.6667 0.3333 0.3768 1
S4 S 0.6667 0.3333 0.9058 1
```

Main lines, sorted by position (2θ from 10° to 90°):
2θ 22.1, rel. 82
2θ 28.0, rel. 67
2θ 28.9, rel. 100
2θ 31.7, rel. 68
2θ 35.9, rel. 26
2θ 41.2, rel. 95
2θ 47.3, rel. 25
2θ 49.5, rel. 88
2θ 54.0, rel. 53
2θ 54.8, rel. 37

Diffraction record for Al2Zn2S5. The powder diffractogram is calculated, not measured: it uses a DFT-relaxed cell (GGA-PBE, Alexandria) and Cu Kα, 1.54184 Å.

Crystal structure
```
data_Al2Zn2S5
_chemical_formula_sum 'Al6 Zn6 S15'
_symmetry_space_group_name_H-M 'R 3 m'
_symmetry_Int_Tables_number 160
_symmetry_space_group_name_Hall 'R 3 -2"'
_cell_length_a 3.7272
_cell_length_b 3.7272
_cell_length_c 44.3557
_cell_angle_alpha 90.00
_cell_angle_beta 90.00
_cell_angle_gamma 120.00
loop_
_atom_site_label
_atom_site_type_symbol
_atom_site_fract_x
_atom_site_fract_y
_atom_site_fract_z
_atom_site_occupancy
Al1 Al 0.0000 0.0000 0.0000 1
Al2 Al 0.0000 0.0000 0.1788 1
Zn1 Zn 0.0000 0.0000 0.4159 1
Zn2 Zn 0.0000 0.0000 0.5858 1
S1 S 0.0000 0.0000 0.1000 1
S2 S 0.0000 0.0000 0.2304 1
S3 S 0.0000 0.0000 0.3595 1
S4 S 0.0000 0.0000 0.4946 1
S5 S 0.0000 0.0000 0.6367 1
```

Main lines, sorted by position (2θ from 10° to 90°):
2θ 12.0, rel. 47
2θ 24.1, rel. 73
2θ 27.7, rel. 92
2θ 27.9, rel. 38
2θ 29.4, rel. 79
2θ 34.4, rel. 33
2θ 44.7, rel. 49
2θ 48.9, rel. 100
2θ 53.6, rel. 43
2θ 55.2, rel. 42

Diffraction record for Al2ZnS4. The powder diffractogram is calculated, not measured: it uses a DFT-relaxed cell (GGA-PBE, Alexandria) and Cu Kα, 1.54184 Å.

Crystal structure
```
data_Al2ZnS4
_chemical_formula_sum 'Al4 Zn2 S8'
_symmetry_space_group_name_H-M 'C 1 m 1'
_symmetry_Int_Tables_number 8
_cell_length_a 14.145
_cell_length_b 3.711
_cell_length_c 6.453
_cell_angle_alpha 90.00
_cell_angle_beta 116.85
_cell_angle_gamma 90.00
loop_
_symmetry_equiv_pos_as_xyz
'x,y,z'
'x,-y,z'
'x+1/2,y+1/2,z'
'x+1/2,-y+1/2,z'
loop_
_atom_site_label
_atom_site_type_symbol
_atom_site_fract_x
_atom_site_fract_y
_atom_site_fract_z
_atom_site_occupancy
Al1 Al 0.000 0.000 0.000 1
Al2 Al 0.003 0.500 0.500 1
Zn1 Zn 0.205 0.500 0.389 1
S1 S 0.172 0.500 0.695 1
S2 S 0.174 0.000 0.149 1
S3 S 0.420 0.500 0.589 1
S4 S 0.425 0.000 0.091 1
```

Main lines, sorted by position (2θ from 10° to 90°):
2θ 15.4, rel. 60
2θ 25.0, rel. 26
2θ 27.7, rel. 100
2θ 28.3, rel. 68
2θ 31.2, rel. 39
2θ 37.6, rel. 26
2θ 40.1, rel. 29
2θ 48.9, rel. 45
2θ 51.9, rel. 25
2θ 57.6, rel. 30

Diffraction record for Al2Zn2S5. The powder diffractogram is calculated, not measured: it uses a DFT-relaxed cell (GGA-PBE, Alexandria) and Cu Kα, 1.54184 Å.

Crystal structure
```
data_Al2Zn2S5
_chemical_formula_sum 'Al4 Zn4 S10'
_symmetry_space_group_name_H-M 'P 1 21 1'
_symmetry_Int_Tables_number 4
_cell_length_a 6.556
_cell_length_b 6.197
_cell_length_c 9.974
_cell_angle_alpha 90.00
_cell_angle_beta 109.16
_cell_angle_gamma 90.00
loop_
_symmetry_equiv_pos_as_xyz
'x,y,z'
'-x,y+1/2,-z'
loop_
_atom_site_label
_atom_site_type_symbol
_atom_site_fract_x
_atom_site_fract_y
_atom_site_fract_z
_atom_site_occupancy
Al1 Al 0.128 0.000 0.103 1
Al2 Al 0.340 0.002 0.500 1
Zn1 Zn 0.262 0.489 0.692 1
Zn2 Zn 0.468 0.504 0.111 1
S1 S 0.073 0.125 0.302 1
S2 S 0.122 0.632 0.095 1
S3 S 0.256 0.113 0.690 1
S4 S 0.335 0.633 0.495 1
S5 S 0.459 0.118 0.099 1
```

Main lines, sorted by position (2θ from 10° to 90°):
2θ 14.3, rel. 37
2θ 23.7, rel. 20
2θ 27.3, rel. 100
2θ 28.8, rel. 58
2θ 30.9, rel. 66
2θ 40.1, rel. 32
2θ 48.1, rel. 52
2θ 48.3, rel. 24
2θ 52.4, rel. 73
2θ 57.1, rel. 29

Diffraction record for Al2ZnS4. The powder diffractogram is calculated, not measured: it uses a DFT-relaxed cell (GGA-PBE, Alexandria) and Cu Kα, 1.54184 Å.

Crystal structure
```
data_Al2ZnS4
_chemical_formula_sum 'Al16 Zn8 S32'
_symmetry_space_group_name_H-M 'P m n 21'
_symmetry_Int_Tables_number 31
_cell_length_a 7.366
_cell_length_b 26.362
_cell_length_c 6.156
_cell_angle_alpha 90.00
_cell_angle_beta 90.00
_cell_angle_gamma 90.00
loop_
_symmetry_equiv_pos_as_xyz
'x,y,z'
'-x+1/2,-y,z+1/2'
'-x,y,z'
'x+1/2,-y,z+1/2'
loop_
_atom_site_label
_atom_site_type_symbol
_atom_site_fract_x
_atom_site_fract_y
_atom_site_fract_z
_atom_site_occupancy
Al1 Al 0.249 0.085 0.000 1
Al2 Al 0.249 0.165 0.499 1
Al3 Al 0.249 0.335 0.000 1
Al4 Al 0.249 0.585 0.000 1
Zn1 Zn 0.000 0.043 0.497 1
Zn2 Zn 0.000 0.207 0.996 1
Zn3 Zn 0.000 0.458 0.998 1
Zn4 Zn 0.000 0.708 0.999 1
S1 S 0.000 0.041 0.112 1
S2 S 0.000 0.209 0.611 1
S3 S 0.000 0.292 0.124 1
S4 S 0.000 0.458 0.613 1
S5 S 0.000 0.542 0.125 1
S6 S 0.000 0.709 0.614 1
S7 S 0.000 0.793 0.126 1
S8 S 0.000 0.957 0.625 1
S9 S 0.239 0.835 0.629 1
S10 S 0.239 0.916 0.129 1
S11 S 0.241 0.334 0.629 1
S12 S 0.241 0.585 0.629 1
```

Main lines, sorted by position (2θ from 10° to 90°):
2θ 27.1, rel. 49
2θ 27.7, rel. 100
2θ 29.0, rel. 85
2θ 31.4, rel. 60
2θ 40.6, rel. 35
2θ 48.2, rel. 74
2θ 49.5, rel. 37
2θ 52.5, rel. 37
2θ 52.9, rel. 70
2θ 57.3, rel. 53

Diffraction record for Al6Sb. The powder diffractogram is calculated, not measured: it uses a DFT-relaxed cell (GGA-PBE, Alexandria) and Cu Kα, 1.54184 Å.

Crystal structure
```
data_Al6Sb
_chemical_formula_sum 'Al12 Sb2'
_symmetry_space_group_name_H-M 'I m -3 m'
_symmetry_Int_Tables_number 229
_symmetry_space_group_name_Hall '-I 4 2 3'
_cell_length_a 7.256
_cell_length_b 7.256
_cell_length_c 7.256
_cell_angle_alpha 90.00
_cell_angle_beta 90.00
_cell_angle_gamma 90.00
loop_
_atom_site_label
_atom_site_type_symbol
_atom_site_fract_x
_atom_site_fract_y
_atom_site_fract_z
_atom_site_occupancy
Al1 Al 0.000 0.250 0.500 1
Sb1 Sb 0.000 0.000 0.000 1
```

Main lines, sorted by position (2θ from 10° to 90°):
2θ 17.3, rel. 25
2θ 24.5, rel. 43
2θ 30.2, rel. 100
2θ 46.8, rel. 58
2θ 50.3, rel. 15
2θ 56.7, rel. 16
2θ 59.8, rel. 14
2θ 71.2, rel. 16
2θ 73.9, rel. 10
2θ 81.8, rel. 17

Diffraction record for Al5Sb4. The powder diffractogram is calculated, not measured: it uses a DFT-relaxed cell (GGA-PBE, Alexandria) and Cu Kα, 1.54184 Å.

Crystal structure
```
data_Al5Sb4
_chemical_formula_sum 'Al10 Sb8'
_symmetry_space_group_name_H-M 'P 63/m c m'
_symmetry_Int_Tables_number 193
_symmetry_space_group_name_Hall '-P 6c 2'
_cell_length_a 8.7597
_cell_length_b 8.7597
_cell_length_c 6.0423
_cell_angle_alpha 90.00
_cell_angle_beta 90.00
_cell_angle_gamma 120.00
loop_
_atom_site_label
_atom_site_type_symbol
_atom_site_fract_x
_atom_site_fract_y
_atom_site_fract_z
_atom_site_occupancy
Al1 Al 0.0000 0.3113 0.2500 1
Al2 Al 0.3333 0.6667 0.0000 1
Sb1 Sb 0.0000 0.0000 0.0000 1
Sb2 Sb 0.0000 0.3603 0.7500 1
```

Main lines, sorted by position (2θ from 10° to 90°):
2θ 11.7, rel. 18
2θ 23.5, rel. 21
2θ 25.1, rel. 80
2θ 35.5, rel. 100
2θ 36.1, rel. 86
2θ 44.0, rel. 15
2θ 46.9, rel. 14
2θ 51.5, rel. 27
2θ 64.1, rel. 26
2θ 73.0, rel. 24

Diffraction record for Al5Sb3. The powder diffractogram is calculated, not measured: it uses a DFT-relaxed cell (GGA-PBE, Alexandria) and Cu Kα, 1.54184 Å.

Crystal structure
```
data_Al5Sb3
_chemical_formula_sum 'Al10 Sb6'
_symmetry_space_group_name_H-M 'P 63/m c m'
_symmetry_Int_Tables_number 193
_symmetry_space_group_name_Hall '-P 6c 2'
_cell_length_a 8.2423
_cell_length_b 8.2423
_cell_length_c 6.1745
_cell_angle_alpha 90.00
_cell_angle_beta 90.00
_cell_angle_gamma 120.00
loop_
_atom_site_label
_atom_site_type_symbol
_atom_site_fract_x
_atom_site_fract_y
_atom_site_fract_z
_atom_site_occupancy
Al1 Al 0.0000 0.1999 0.2500 1
Al2 Al 0.3333 0.6667 0.0000 1
Sb1 Sb 0.0000 0.4047 0.7500 1
```

Main lines, sorted by position (2θ from 10° to 90°):
2θ 12.4, rel. 17
2θ 24.9, rel. 25
2θ 26.0, rel. 77
2θ 28.9, rel. 33
2θ 36.3, rel. 100
2θ 38.6, rel. 29
2θ 48.3, rel. 37
2θ 56.2, rel. 23
2θ 65.4, rel. 24
2θ 73.0, rel. 23

Diffraction record for Al3Sb2. The powder diffractogram is calculated, not measured: it uses a DFT-relaxed cell (GGA-PBE, Alexandria) and Cu Kα, 1.54184 Å.

Crystal structure
```
data_Al3Sb2
_chemical_formula_sum 'Al3 Sb2'
_symmetry_space_group_name_H-M 'P -3 m 1'
_symmetry_Int_Tables_number 164
_symmetry_space_group_name_Hall '-P 3 2"'
_cell_length_a 4.7008
_cell_length_b 4.7008
_cell_length_c 6.5185
_cell_angle_alpha 90.00
_cell_angle_beta 90.00
_cell_angle_gamma 120.00
loop_
_atom_site_label
_atom_site_type_symbol
_atom_site_fract_x
_atom_site_fract_y
_atom_site_fract_z
_atom_site_occupancy
Al1 Al 0.0000 0.0000 0.0000 1
Al2 Al 0.3333 0.6667 0.3449 1
Sb1 Sb 0.3333 0.6667 0.7795 1
```

Main lines, sorted by position (2θ from 10° to 90°):
2θ 21.8, rel. 39
2θ 25.8, rel. 100
2θ 27.4, rel. 24
2θ 35.3, rel. 58
2θ 38.3, rel. 65
2θ 46.8, rel. 20
2θ 47.4, rel. 27
2θ 47.7, rel. 32
2θ 53.0, rel. 17
2θ 67.3, rel. 17